(1)
Diffraction record for TeCl. The powder diffractogram is simulated, not measured: it uses a structure optimized by DFT (GGA-PBE) and Cu Kα.

Largest 10 diffraction maxima, most intense first, 2θ from 10° to 90°:
| two_theta | I_rel | hkl |
| --- | --- | --- |
| 12.13 | 100.0 | 0 0 1 |
| 27.93 | 61.1 | 1 1 0 |
| 30.55 | 45.7 | 1 1 1 |
| 39.92 | 22.6 | 2 0 0 |
| 46.96 | 19.8 | 1 1 3 |
| 41.87 | 19.4 | 2 0 1 |
| 37.43 | 16.3 | 1 1 2 |
| 31.53 | 14.7 | 1 0 2 |
| 24.40 | 12.0 | 0 0 2 |
| 55.53 | 11.8 | 2 0 3 |

Atomic structure:
```
data_TeCl
_chemical_formula_sum 'Te2 Cl2'
_cell_length_a 4.517
_cell_length_b 4.517
_cell_length_c 7.295
_cell_angle_alpha 90.00
_cell_angle_beta 90.00
_cell_angle_gamma 90.00
_space_group_name_H-M_alt 'P 4/n m m'
_space_group_IT_number 129
loop_
_space_group_symop_operation_xyz
'x,y,z'
'-x,-y,-z'
'-y+1/2,x,z'
'y+1/2,-x,-z'
'-x+1/2,-y+1/2,z'
'x+1/2,y+1/2,-z'
'y,-x+1/2,z'
'-y,x+1/2,-z'
'x+1/2,-y,-z'
'-x+1/2,y,z'
'-y,-x,-z'
'y,x,z'
'-x,y+1/2,-z'
'x,-y+1/2,z'
'y+1/2,x+1/2,-z'
'-y+1/2,-x+1/2,z'
loop_
_atom_site_label
_atom_site_type_symbol
_atom_site_fract_x
_atom_site_fract_y
_atom_site_fract_z
_atom_site_occupancy
Te1 Te 0.250 0.250 0.029 1
Cl1 Cl 0.250 0.250 0.701 1
```

=====

(2)
Diffraction record for DyMnTcGe2. The powder diffractogram is simulated, not measured: it uses a structure optimized by DFT (GGA-PBE) and Cu Kα.

Largest 10 diffraction maxima, most intense first, 2θ from 10° to 90°:
| two_theta | I_rel | hkl |
| --- | --- | --- |
| 35.54 | 100.0 | 1 1 2 |
| 33.20 | 69.7 | 1 0 3 |
| 44.96 | 50.7 | 2 0 0 |
| 47.43 | 34.5 | 1 0 5 |
| 57.02 | 29.6 | 2 1 3 |
| 67.41 | 23.9 | 2 1 5 |
| 76.76 | 20.3 | 3 1 2 |
| 65.46 | 16.1 | 2 2 0 |
| 31.37 | 14.8 | 1 1 0 |
| 86.19 | 14.4 | 2 0 8 |

Atomic structure:
```
data_DyMnTcGe2
_chemical_formula_sum 'Dy2 Mn2 Tc2 Ge4'
_cell_length_a 4.033
_cell_length_b 4.033
_cell_length_c 10.892
_cell_angle_alpha 90.00
_cell_angle_beta 90.00
_cell_angle_gamma 90.00
_space_group_name_H-M_alt 'I -4 m 2'
_space_group_IT_number 119
_space_group_name_Hall 'I -4 -2'
loop_
_atom_site_label
_atom_site_type_symbol
_atom_site_fract_x
_atom_site_fract_y
_atom_site_fract_z
_atom_site_occupancy
Dy1 Dy 0.000 0.000 0.000 1
Mn1 Mn 0.000 0.500 0.750 1
Tc1 Tc 0.000 0.500 0.250 1
Ge1 Ge 0.000 0.000 0.383 1
```

=====

(3)
Diffraction record for Cs2NpCu2Br6. The powder diffractogram is simulated, not measured: it uses a structure optimized by DFT (GGA-PBE) and Cu Kα.

Largest 10 diffraction maxima, most intense first, 2θ from 10° to 90°:
| two_theta | I_rel | hkl |
| --- | --- | --- |
| 30.40 | 100.0 | 2 2 -2 |
| 22.19 | 95.2 | 3 1 -1 |
| 23.89 | 57.9 | 1 1 -2 |
| 30.65 | 46.0 | 4 0 0 |
| 20.72 | 45.6 | 1 1 1 |
| 45.40 | 37.5 | 0 4 0 |
| 15.06 | 29.3 | 1 1 -1 |
| 26.00 | 28.6 | 4 0 -1 |
| 38.19 | 27.5 | 4 2 0 |
| 45.21 | 27.0 | 6 2 -2 |

Atomic structure:
```
data_Cs2NpCu2Br6
_chemical_formula_sum 'Cs4 Np2 Cu4 Br12'
_cell_length_a 13.918
_cell_length_b 7.987
_cell_length_c 8.734
_cell_angle_alpha 90.00
_cell_angle_beta 123.03
_cell_angle_gamma 90.00
_space_group_name_H-M_alt 'C 1 2/m 1'
_space_group_IT_number 12
loop_
_space_group_symop_operation_xyz
'x,y,z'
'-x,-y,-z'
'-x,y,-z'
'x,-y,z'
'x+1/2,y+1/2,z'
'-x+1/2,-y+1/2,-z'
'-x+1/2,y+1/2,-z'
'x+1/2,-y+1/2,z'
loop_
_atom_site_label
_atom_site_type_symbol
_atom_site_fract_x
_atom_site_fract_y
_atom_site_fract_z
_atom_site_occupancy
Cs1 Cs 0.223 0.000 0.211 1
Np1 Np 0.000 0.000 0.500 1
Cu1 Cu 0.041 0.500 0.165 1
Br1 Br 0.040 0.246 0.778 1
Br2 Br 0.246 0.000 0.652 1
```

=====

(4)
Diffraction record for LiMgPaO4. The powder diffractogram is simulated, not measured: it uses a structure optimized by DFT (GGA-PBE) and Cu Kα.

Largest 10 diffraction maxima, most intense first, 2θ from 10° to 90°:
| two_theta | I_rel | hkl |
| --- | --- | --- |
| 17.66 | 100.0 | 1 0 1 |
| 30.73 | 51.1 | 1 2 1 |
| 20.37 | 27.0 | 0 0 2 |
| 38.67 | 25.3 | 2 2 0 |
| 34.13 | 19.5 | 1 0 3 |
| 42.74 | 18.5 | 1 2 3 |
| 57.96 | 15.8 | 2 2 4 |
| 44.09 | 15.7 | 2 2 2 |
| 32.42 | 15.4 | 0 2 2 |
| 24.95 | 14.9 | 0 2 0 |

Atomic structure:
```
data_LiMgPaO4
_chemical_formula_sum 'Li4 Mg4 Pa4 O16'
_cell_length_a 6.144
_cell_length_b 7.138
_cell_length_c 8.719
_cell_angle_alpha 90.00
_cell_angle_beta 90.00
_cell_angle_gamma 90.00
_space_group_name_H-M_alt 'I m m a'
_space_group_IT_number 74
_space_group_name_Hall '-I 2b 2'
loop_
_atom_site_label
_atom_site_type_symbol
_atom_site_fract_x
_atom_site_fract_y
_atom_site_fract_z
_atom_site_occupancy
Li1 Li 0.000 0.250 0.120 1
Mg1 Mg 0.250 0.250 0.750 1
Pa1 Pa 0.000 0.000 0.500 1
O1 O 0.000 0.043 0.737 1
O2 O 0.224 0.250 0.501 1
```

=====

(5)
Diffraction record for LaPmLuMg. The powder diffractogram is simulated, not measured: it uses a structure optimized by DFT (GGA-PBE) and Cu Kα.

Largest 10 diffraction maxima, most intense first, 2θ from 10° to 90°:
| two_theta | I_rel | hkl |
| --- | --- | --- |
| 31.95 | 100.0 | 2 2 0 |
| 56.94 | 38.7 | 4 2 2 |
| 19.41 | 20.9 | 1 1 1 |
| 45.81 | 18.4 | 4 0 0 |
| 75.96 | 16.5 | 6 2 0 |
| 37.66 | 12.1 | 3 1 1 |
| 66.79 | 11.9 | 4 4 0 |
| 50.19 | 5.4 | 3 3 1 |
| 84.78 | 4.2 | 4 4 4 |
| 60.74 | 4.1 | 5 1 1 |

Atomic structure:
```
data_LaPmLuMg
_chemical_formula_sum 'La4 Pm4 Lu4 Mg4'
_cell_length_a 7.923
_cell_length_b 7.923
_cell_length_c 7.923
_cell_angle_alpha 90.00
_cell_angle_beta 90.00
_cell_angle_gamma 90.00
_space_group_name_H-M_alt 'F -4 3 m'
_space_group_IT_number 216
_space_group_name_Hall 'F -4 2 3'
loop_
_atom_site_label
_atom_site_type_symbol
_atom_site_fract_x
_atom_site_fract_y
_atom_site_fract_z
_atom_site_occupancy
La1 La 0.000 0.000 0.000 1
Pm1 Pm 0.000 0.000 0.500 1
Lu1 Lu 0.250 0.250 0.250 1
Mg1 Mg 0.250 0.250 0.750 1
```

=====

(6)
Diffraction record for PmPrGePt. The powder diffractogram is simulated, not measured: it uses a structure optimized by DFT (GGA-PBE) and Cu Kα.

Largest 10 diffraction maxima, most intense first, 2θ from 10° to 90°:
| two_theta | I_rel | hkl |
| --- | --- | --- |
| 34.66 | 100.0 | 2 2 0 |
| 62.11 | 37.1 | 4 2 2 |
| 49.82 | 18.0 | 4 0 0 |
| 83.52 | 16.3 | 6 2 0 |
| 73.12 | 11.4 | 4 4 0 |
| 21.02 | 9.9 | 1 1 1 |
| 40.88 | 5.6 | 3 1 1 |
| 54.65 | 2.5 | 3 3 1 |
| 66.35 | 1.9 | 5 1 1 |
| 77.07 | 1.9 | 5 3 1 |

Atomic structure:
```
data_PmPrGePt
_chemical_formula_sum 'Pm4 Pr4 Ge4 Pt4'
_cell_length_a 7.321
_cell_length_b 7.321
_cell_length_c 7.321
_cell_angle_alpha 90.00
_cell_angle_beta 90.00
_cell_angle_gamma 90.00
_space_group_name_H-M_alt 'F -4 3 m'
_space_group_IT_number 216
_space_group_name_Hall 'F -4 2 3'
loop_
_atom_site_label
_atom_site_type_symbol
_atom_site_fract_x
_atom_site_fract_y
_atom_site_fract_z
_atom_site_occupancy
Pm1 Pm 0.000 0.000 0.000 1
Pr1 Pr 0.000 0.000 0.500 1
Ge1 Ge 0.250 0.250 0.750 1
Pt1 Pt 0.250 0.250 0.250 1
```